Entry 1:
Hg2Sb2Cl7: simulated X-ray diffraction stick pattern (CuKα), based on a DFT-relaxed cell (GGA-PBE, Alexandria).
No peak broadening, texture or thermal motion is included.

Principal peaks in the range 2θ from 5° to 70°, in order of rising 2θ:
| hkl | 2θ/deg | intensity |
| --- | --- | --- |
| 1 1 0 | 9.43 | 15.7 |
| 1 1 -1 | 17.24 | 14.7 |
| 2 2 0 | 18.90 | 100.0 |
| 1 1 1 | 19.29 | 14.9 |
| 0 2 1 | 20.48 | 39.8 |
| 2 2 -1 | 23.05 | 25.5 |
| 0 4 0 | 26.44 | 14.9 |
| 3 3 0 | 28.54 | 16.1 |
| 2 4 1 | 34.99 | 18.4 |
| 4 2 1 | 36.60 | 18.3 |

Structural model:
abc: 13.2653 13.4855 5.7542
angles: 90.00 100.07 90.00
Space group C2/m (No. 12)
One atom of each set of equivalent atoms:
Hg 0.0000 0.2310 0.0000 x4
Sb 0.2125 0.0000 0.6524 x4
Cl 0.0000 0.0000 0.5000 x2
Cl 0.1710 0.3602 0.2892 x8
Cl 0.1813 0.0000 0.0505 x4

=====

Entry 2:
Hg4Sb2Cl3: simulated X-ray diffraction stick pattern (CuKα), based on a DFT-relaxed cell (GGA-PBE, Alexandria).
No peak broadening, texture or thermal motion is included.

Principal peaks in the range 2θ from 5° to 70°, in order of rising 2θ:
| hkl | 2θ/deg | intensity |
| --- | --- | --- |
| 0 1 -1 | 12.60 | 100.0 |
| 1 -2 0 | 20.50 | 61.5 |
| 1 1 -2 | 22.54 | 65.8 |
| 1 -1 2 | 23.03 | 28.4 |
| 2 -1 0 | 25.11 | 43.9 |
| 1 1 1 | 25.30 | 27.1 |
| 2 0 0 | 28.10 | 46.6 |
| -2 2 2 | 28.49 | 40.7 |
| 0 2 2 | 30.06 | 26.2 |
| -2 2 3 | 32.45 | 76.8 |

Structural model:
abc: 7.4432 8.8291 11.7498
angles: 91.53 107.27 114.88
Space group P-1 (No. 2)
One atom of each set of equivalent atoms:
Hg 0.1770 0.1439 0.2934 x2
Hg 0.2832 0.6602 0.3840 x2
Hg 0.3085 0.2542 0.7306 x2
Hg 0.3135 0.5459 0.8917 x2
Sb 0.0922 0.9171 0.4421 x2
Sb 0.2741 0.6807 0.1493 x2
Cl 0.1450 0.3129 0.1310 x2
Cl 0.3401 0.5856 0.5902 x2
Cl 0.3993 0.9938 0.1688 x2

=====

Entry 3:
HgSbCl5: simulated X-ray diffraction stick pattern (CuKα), based on a DFT-relaxed cell (GGA-PBE, Alexandria).
No peak broadening, texture or thermal motion is included.

Principal peaks in the range 2θ from 5° to 70°, in order of rising 2θ:
| hkl | 2θ/deg | intensity |
| --- | --- | --- |
| 1 -1 1 | 16.31 | 100.0 |
| 1 1 -1 | 17.86 | 74.5 |
| 0 1 1 | 18.89 | 78.2 |
| 1 0 -2 | 22.04 | 42.3 |
| 2 0 0 | 23.48 | 38.0 |
| 1 -2 0 | 24.51 | 25.2 |
| 0 1 -3 | 28.70 | 19.9 |
| 1 2 0 | 29.64 | 54.4 |
| 2 1 1 | 33.85 | 19.7 |
| 1 2 -4 | 40.90 | 20.3 |

Structural model:
abc: 7.8268 8.0697 9.3640
angles: 111.91 94.92 100.76
Space group P1 (No. 1)
One atom of each set of equivalent atoms:
Hg 0.0000 0.0000 0.0000 x1
Hg 0.0005 0.5002 0.4999 x1
Sb 0.4853 0.7913 0.2543 x1
Sb 0.5144 0.2072 0.7450 x1
Cl 0.1114 0.8889 0.1740 x1
Cl 0.1163 0.4311 0.2722 x1
Cl 0.2721 0.3031 0.6526 x1
Cl 0.3807 0.8814 0.6146 x1
Cl 0.4250 0.2341 0.9901 x1
Cl 0.5739 0.7645 0.0090 x1
Cl 0.6205 0.1167 0.3853 x1
Cl 0.7268 0.6932 0.3453 x1
Cl 0.8845 0.5692 0.7275 x1
Cl 0.8886 0.1111 0.8260 x1

=====

Entry 4:
SrHgSbCl6: simulated X-ray diffraction stick pattern (CuKα), based on a DFT-relaxed cell (GGA-PBE, Alexandria).
No peak broadening, texture or thermal motion is included.

Principal peaks in the range 2θ from 5° to 70°, in order of rising 2θ:
| hkl | 2θ/deg | intensity |
| --- | --- | --- |
| 1 0 1 | 19.66 | 100.0 |
| 1 1 0 | 24.64 | 27.9 |
| 1 1 1 | 28.23 | 15.2 |
| 2 0 1 | 31.71 | 30.1 |
| 2 -1 2 | 37.13 | 55.9 |
| 3 -1 1 | 40.57 | 32.6 |
| 3 0 0 | 43.37 | 24.4 |
| 1 0 3 | 44.09 | 12.1 |
| 3 1 1 | 54.72 | 13.8 |
| 2 2 2 | 58.39 | 14.6 |

Structural model:
abc: 7.2268 7.2268 6.5232
angles: 90.00 90.00 120.00
Space group P312 (No. 149)
One atom of each set of equivalent atoms:
Sr 0.0000 0.0000 0.0000 x1
Hg 0.6667 0.3333 0.5000 x1
Sb 0.3333 0.6667 0.0000 x1
Cl 0.0313 0.3606 0.2325 x6

=====

Entry 5:
Sc2HgCl: simulated X-ray diffraction stick pattern (CuKα), based on a DFT-relaxed cell (GGA-PBE, Alexandria).
No peak broadening, texture or thermal motion is included.

Principal peaks in the range 2θ from 5° to 70°, in order of rising 2θ:
| hkl | 2θ/deg | intensity |
| --- | --- | --- |
| 0 0 1 | 13.26 | 63.0 |
| 1 0 0 | 24.46 | 47.3 |
| 0 0 2 | 26.70 | 37.8 |
| 1 0 1 | 27.92 | 79.3 |
| 1 1 0 | 34.86 | 78.5 |
| 1 0 2 | 36.52 | 100.0 |
| 1 1 1 | 37.45 | 24.5 |
| 1 1 2 | 44.44 | 38.4 |
| 2 0 0 | 50.13 | 27.1 |
| 2 1 2 | 63.59 | 38.7 |

Structural model:
abc: 3.6396 3.6396 6.6780
angles: 90.00 90.00 90.00
Space group P4mm (No. 99)
One atom of each set of equivalent atoms:
Sc 0.0000 0.0000 0.0000 x1
Sc 0.5000 0.5000 0.3107 x1
Hg 0.5000 0.5000 0.7935 x1
Cl 0.0000 0.0000 0.3963 x1

=====

Entry 6:
Sc2HgCl: simulated X-ray diffraction stick pattern (CuKα), based on a DFT-relaxed cell (GGA-PBE, Alexandria).
No peak broadening, texture or thermal motion is included.

Principal peaks in the range 2θ from 5° to 70°, in order of rising 2θ:
| hkl | 2θ/deg | intensity |
| --- | --- | --- |
| 0 0 1 | 12.41 | 100.0 |
| 0 0 2 | 24.97 | 25.5 |
| 1 1 0 | 28.90 | 33.1 |
| 1 1 -1 | 29.30 | 21.4 |
| 2 0 -2 | 29.95 | 20.5 |
| 1 1 1 | 33.68 | 80.5 |
| 1 0 -3 | 34.96 | 16.8 |
| 2 1 -2 | 39.48 | 36.4 |
| 3 0 -1 | 39.94 | 20.6 |
| 1 1 -3 | 43.53 | 18.9 |

Structural model:
abc: 6.7984 3.5452 7.6995
angles: 90.00 112.14 90.00
Space group P2_1/m (No. 11)
One atom of each set of equivalent atoms:
Sc 0.0043 0.2500 0.3249 x2
Sc 0.4580 0.2500 0.8003 x2
Hg 0.1844 0.2500 0.0150 x2
Cl 0.3011 0.7500 0.5263 x2